Structure and simulated X-ray diffraction stick pattern of Cs2CrGaO4 (DFT lattice parameters and positions (PBE+U); Cu Ka).
Kinematic intensities with the Lorentz-polarization factor, no thermal factor.

Peak list (8 most intense, 15 to 90 degrees two-theta, most intense first)
(hkl), 2θ (°), I_rel
0 2 6, 28.47, 1000
1 1 3, 21.74, 878
1 3 3, 29.59, 674
2 0 6, 41.79, 528
0 4 0, 28.18, 472
2 2 0, 36.21, 455
2 4 6, 51.20, 376
2 6 0, 55.29, 291

Atomic structure:
```
data_Cs2CrGaO4
_symmetry_space_group_name_H-M 'F d d d'
_symmetry_Int_Tables_number 70
_cell_length_a 5.3925
_cell_length_b 12.6658
_cell_length_c 21.6501
_cell_angle_alpha 90.00
_cell_angle_beta 90.00
_cell_angle_gamma 90.00
loop_
_symmetry_equiv_pos_as_xyz
'x,y,z'
'-x,-y,-z'
'-x+1/4,-y+1/4,z'
'x+1/4,y+1/4,-z'
'x,-y+1/4,-z+1/4'
'-x,y+1/4,z+1/4'
'-x+1/4,y,-z+1/4'
'x+1/4,-y,z+1/4'
'x,y+1/2,z+1/2'
'-x,-y+1/2,-z+1/2'
'-x+1/4,-y+3/4,z+1/2'
'x+1/4,y+3/4,-z+1/2'
'x,-y+3/4,-z+3/4'
'-x,y+3/4,z+3/4'
'-x+1/4,y+1/2,-z+3/4'
'x+1/4,-y+1/2,z+3/4'
'x+1/2,y,z+1/2'
'-x+1/2,-y,-z+1/2'
'-x+3/4,-y+1/4,z+1/2'
'x+3/4,y+1/4,-z+1/2'
'x+1/2,-y+1/4,-z+3/4'
'-x+1/2,y+1/4,z+3/4'
'-x+3/4,y,-z+3/4'
'x+3/4,-y,z+3/4'
'x+1/2,y+1/2,z'
'-x+1/2,-y+1/2,-z'
'-x+3/4,-y+3/4,z'
'x+3/4,y+3/4,-z'
'x+1/2,-y+3/4,-z+1/4'
'-x+1/2,y+3/4,z+1/4'
'-x+3/4,y+1/2,-z+1/4'
'x+3/4,-y+1/2,z+1/4'
loop_
_atom_site_label
_atom_site_type_symbol
_atom_site_fract_x
_atom_site_fract_y
_atom_site_fract_z
Cs1 Cs 0.1250 0.1250 0.2998
Cr1 Cr 0.1250 0.1250 0.1250
Ga1 Ga 0.1250 0.1250 0.6250
O1 O 0.1202 0.2964 0.8334
```